Record 1
Theoretical X-ray diffraction stick pattern of YTmIn4Co2 for copper Kα, from the PBE geometry in OQMD.
No peak broadening, texture or thermal motion is included.

Top 6 peaks for 2θ from 15° to 90°, in order of rising 2θ:
| 2θ (°) | d (Å) | Rel. int. |
| --- | --- | --- |
| 32.92 | 2.721 | 100 |
| 33.64 | 2.664 | 38 |
| 35.74 | 2.512 | 53 |
| 37.02 | 2.428 | 27 |
| 39.90 | 2.259 | 31 |
| 42.57 | 2.124 | 51 |

a b c (Å): 7.5499 5.5519 5.5519
angles (deg): 45.00 90.00 90.00
Atoms (fractional coordinates):
Y1 0.0000 0.0000 0.0000
Tm1 0.5000 0.1325 0.1325
In1 0.2008 0.7116 0.7116
In2 0.3015 0.4205 0.4205
In3 0.6985 0.4205 0.4205
In4 0.7992 0.7116 0.7116
Co1 0.0000 0.2824 0.2824
Co2 0.5000 0.8504 0.8504



Record 2
Theoretical X-ray diffraction stick pattern of In2FeC4 for copper Kα, from the PBE geometry in OQMD.
No peak broadening, texture or thermal motion is included.

Top 6 peaks for 2θ from 15° to 90°, in order of rising 2θ:
| 2θ (°) | d (Å) | Rel. int. |
| --- | --- | --- |
| 27.37 | 3.259 | 23 |
| 27.52 | 3.242 | 100 |
| 34.65 | 2.589 | 20 |
| 38.43 | 2.342 | 27 |
| 43.54 | 2.079 | 24 |
| 46.75 | 1.943 | 54 |

a b c (Å): 7.0576 7.0576 7.0576
angles (deg): 130.67 67.50 136.97
Atoms (fractional coordinates):
In1 0.1524 0.2147 0.3671
In2 0.3476 0.7147 0.0622
In3 0.6524 0.2853 0.9378
In4 0.8476 0.7853 0.6329
Fe1 0.2500 0.7500 0.5000
Fe2 0.7500 0.2500 0.5000
C1 0.0826 0.6793 0.7619
C2 0.1657 0.8377 0.0034
C3 0.3343 0.3377 0.6720
C4 0.4174 0.1793 0.5966
C5 0.5826 0.8207 0.4034
C6 0.6657 0.6623 0.3280
C7 0.8343 0.1623 0.9966
C8 0.9174 0.3207 0.2381